Structure and simulated X-ray diffraction stick pattern of Ba2PtAu (the GGA-PBE geometry in Alexandria; Cu Kα (λ = 1.5418 Å)).

Principal peaks in the range 5° ≤ 2θ ≤ 70°, low angle first:
d 6.044, 2θ 14.66, I 255
d 4.203, 2θ 21.14, I 195
d 3.162, 2θ 28.22, I 938
d 3.022, 2θ 29.56, I 207
d 2.997, 2θ 29.82, I 226
d 2.557, 2θ 35.09, I 375
d 2.542, 2θ 35.31, I 1000
d 2.400, 2θ 37.48, I 331
d 2.241, 2θ 40.24, I 271
d 1.685, 2θ 54.44, I 216
d 1.638, 2θ 56.16, I 206
d 1.611, 2θ 57.16, I 187

Atomic structure:
Cell lengths 4.799, 6.446, 6.446 Å; angles 40.69, 90.00, 90.00 degrees
Fractional coordinates of all 4 atoms:
Ba  0.000  0.000  0.000
Ba  0.500  0.275  0.275
Pt  0.000  0.714  0.714
Au  0.500  0.563  0.563

=====

Structure and simulated X-ray diffraction stick pattern of AlTeO4F (the GGA-PBE geometry in Alexandria; Cu Kα (λ = 1.5418 Å)).

Principal peaks in the range 5° ≤ 2θ ≤ 70°, low angle first:
d 4.881, 2θ 18.17, I 340
d 4.297, 2θ 20.67, I 845
d 3.513, 2θ 25.35, I 1000
d 3.459, 2θ 25.75, I 442
d 3.305, 2θ 26.98, I 529
d 2.681, 2θ 33.42, I 191
d 2.620, 2θ 34.23, I 253
d 2.572, 2θ 34.89, I 138
d 2.467, 2θ 36.42, I 156
d 2.315, 2θ 38.90, I 155
d 1.946, 2θ 46.67, I 140
d 1.646, 2θ 55.86, I 179

Atomic structure:
Cell lengths 5.422, 5.422, 8.126 Å; angles 113.64, 113.64, 75.11 degrees
Fractional coordinates of all 14 atoms:
Al  0.034  0.034  0.195
Al  0.966  0.966  0.805
Te  0.323  0.323  0.689
Te  0.677  0.677  0.311
O  0.118  0.118  0.702
O  0.257  0.257  0.434
O  0.262  0.688  0.807
O  0.312  0.738  0.193
O  0.688  0.262  0.807
O  0.738  0.312  0.193
O  0.743  0.743  0.566
O  0.882  0.882  0.298
F  0.155  0.155  0.059
F  0.845  0.845  0.941